Entry 1:
Structure and theoretical powder X-ray diffraction pattern of Tb2GdAl3Ni3 (a structure optimized by DFT (GGA-PBE); Cu Kα).
Intensities are scaled so that the largest is 100.

Top 10 peaks for 2θ from 5° to 70°, low angle first:
two_theta, I/Imax, (hkl)
23.18, 27, 1 0 0
25.42, 36, 0 3 1
29.44, 37, 0 4 0
34.67, 95, 1 0 2
37.80, 100, 1 2 2
39.28, 33, 0 5 1
46.11, 18, 1 5 1
47.38, 22, 2 0 0
54.53, 35, 0 5 3
60.02, 37, 1 7 1

abc: 3.8376 12.1283 7.0113
angles: 90.00 90.00 90.00
Space group Amm2 (No. 38)
Symmetry-distinct sites (fractional):
Tb  0.0000  0.2089  0.0000
Gd  0.0000  0.0000  0.6272
Al  0.5000  0.0000  0.9747
Al  0.5000  0.1177  0.3258
Ni  0.0000  0.0000  0.2083
Ni  0.5000  0.1673  0.7092

---

Entry 2:
Structure and theoretical powder X-ray diffraction pattern of GdTmAl4Ni2 (a structure optimized by DFT (GGA-PBE); Cu Kα).
Intensities are scaled so that the largest is 100.

Top 10 peaks for 2θ from 5° to 70°, low angle first:
two_theta, I/Imax, (hkl)
21.75, 21, 1 0 2
23.63, 68, 0 1 1
25.92, 52, 2 0 0
35.36, 96, 2 1 1
36.98, 100, 1 1 3
37.76, 57, 1 0 4
44.71, 28, 0 2 0
53.30, 42, 4 0 0
59.09, 15, 4 1 1
59.92, 29, 1 2 4

abc: 6.8742 4.0540 10.1591
angles: 90.00 90.00 90.00
Space group Amm2 (No. 38)
Symmetry-distinct sites (fractional):
Gd  0.0000  0.0000  0.0000
Tm  0.5000  0.0000  0.1224
Al  0.1966  0.0000  0.7173
Al  0.3055  0.0000  0.4042
Ni  0.0000  0.0000  0.2772
Ni  0.5000  0.0000  0.8456